No. 1
Structure and theoretical XRD peak list of CeB4Ru4 (DFT lattice parameters and positions (GGA-PBE); Cu Kα).
Kinematic intensities with the Lorentz-polarization factor, no thermal factor.

Cell and atoms:
```
data_CeB4Ru4
_cell_length_a 7.510
_cell_length_b 7.510
_cell_length_c 15.171
_cell_angle_alpha 90.00
_cell_angle_beta 90.00
_cell_angle_gamma 90.00
_space_group_name_H-M_alt 'I 41/a c d'
_space_group_IT_number 142
loop_
_space_group_symop_operation_xyz
'x,y,z'
'-x,-y,-z'
'-y+1/4,x+3/4,z+1/4'
'y+1/4,-x+3/4,-z+1/4'
'-x+1/2,-y,z+1/2'
'x+1/2,y,-z+1/2'
'y+1/4,-x+1/4,z+3/4'
'-y+1/4,x+1/4,-z+3/4'
'x,-y,-z+1/2'
'-x,y,z+1/2'
'-y+1/4,-x+1/4,-z+1/4'
'y+1/4,x+1/4,z+1/4'
'-x+1/2,y,-z'
'x+1/2,-y,z'
'y+1/4,x+3/4,-z+3/4'
'-y+1/4,-x+3/4,z+3/4'
'x+1/2,y+1/2,z+1/2'
'-x+1/2,-y+1/2,-z+1/2'
'-y+3/4,x+1/4,z+3/4'
'y+3/4,-x+1/4,-z+3/4'
'-x,-y+1/2,z'
'x,y+1/2,-z'
'y+3/4,-x+3/4,z+1/4'
'-y+3/4,x+3/4,-z+1/4'
'x+1/2,-y+1/2,-z'
'-x+1/2,y+1/2,z'
'-y+3/4,-x+3/4,-z+3/4'
'y+3/4,x+3/4,z+3/4'
'-x,y+1/2,-z+1/2'
'x,-y+1/2,z+1/2'
'y+3/4,x+1/4,-z+1/4'
'-y+3/4,-x+1/4,z+1/4'
loop_
_atom_site_label
_atom_site_type_symbol
_atom_site_fract_x
_atom_site_fract_y
_atom_site_fract_z
_atom_site_occupancy
Ce1 Ce 0.000 0.250 0.125 1
B1 B 0.143 0.082 0.293 1
Ru1 Ru 0.114 0.102 0.436 1
```

Peak list (12 most intense, 2θ from 5° to 70°, most intense first)
2theta	d [Å]	I_rel
39.77	2.266	100
31.99	2.798	67
39.47	2.283	42
40.05	2.252	42
33.58	2.669	18
43.87	2.064	13
64.44	1.446	13
64.23	1.450	12
63.80	1.459	10
23.45	3.793	10
47.19	1.926	10
48.48	1.878	10


No. 2
Structure and theoretical XRD peak list of ZnSnPt5 (DFT lattice parameters and positions (GGA-PBE); Cu Kα).
Kinematic intensities with the Lorentz-polarization factor, no thermal factor.

Cell and atoms:
```
data_ZnSnPt5
_cell_length_a 4.059
_cell_length_b 4.059
_cell_length_c 7.149
_cell_angle_alpha 90.00
_cell_angle_beta 90.00
_cell_angle_gamma 90.00
_space_group_name_H-M_alt 'P 4/m m m'
_space_group_IT_number 123
_space_group_name_Hall '-P 4 2'
loop_
_atom_site_label
_atom_site_type_symbol
_atom_site_fract_x
_atom_site_fract_y
_atom_site_fract_z
_atom_site_occupancy
Zn1 Zn 0.000 0.000 0.000 1
Sn1 Sn 0.500 0.500 0.500 1
Pt1 Pt 0.000 0.000 0.500 1
Pt2 Pt 0.000 0.500 0.222 1
```

Peak list (12 most intense, 2θ from 5° to 70°, most intense first)
2theta	d [Å]	I_rel
40.30	2.238	100
44.65	2.029	41
33.65	2.663	19
64.99	1.435	14
31.16	2.870	12
59.86	1.545	11
37.75	2.383	10
51.11	1.787	10
24.91	3.575	8
51.80	1.765	4
21.90	4.059	4
12.38	7.149	4